Simulated powder XRD pattern
Compound: V2ZnP2O9
Radiation: CuKα
Structure: the GGA+U geometry in Alexandria

```
data_V2ZnP2O9
_chemical_formula_sum 'V8 Zn4 P8 O36'
_space_group_name_H-M_alt 'P n m a'
_space_group_IT_number 62
_cell_length_a 14.3257
_cell_length_b 6.3030
_cell_length_c 7.4975
_cell_angle_alpha 90.00
_cell_angle_beta 90.00
_cell_angle_gamma 90.00
loop_
_space_group_symop_operation_xyz
'x,y,z'
'-x,-y,-z'
'-x+1/2,-y,z+1/2'
'x+1/2,y,-z+1/2'
'x+1/2,-y+1/2,-z+1/2'
'-x+1/2,y+1/2,z+1/2'
'-x,y+1/2,-z'
'x,-y+1/2,z'
loop_
_atom_site_label
_atom_site_fract_x
_atom_site_fract_y
_atom_site_fract_z
_atom_site_occupancy
V1 0.0000 0.0000 0.0000 1
V2 0.1220 0.2500 0.3548 1
Zn1 0.2322 0.2500 0.9419 1
P1 0.0704 0.7500 0.3657 1
P2 0.1945 0.7500 0.8914 1
O1 0.0018 0.2500 0.4902 1
O2 0.0250 0.7500 0.1774 1
O3 0.0470 0.2500 0.1332 1
O4 0.1363 0.5393 0.9002 1
O5 0.1410 0.5625 0.3786 1
O6 0.2311 0.2500 0.5398 1
O7 0.2472 0.2500 0.2125 1
```

Top 10 peaks for 2θ = 15–90°, in order of rising 2θ:
- 2θ 17.12, rel. 327
- 2θ 23.73, rel. 286
- 2θ 24.55, rel. 1000
- 2θ 28.32, rel. 415
- 2θ 31.03, rel. 320
- 2θ 31.42, rel. 293
- 2θ 33.48, rel. 277
- 2θ 34.64, rel. 196
- 2θ 36.48, rel. 297
- 2θ 39.41, rel. 246